No. 1
Structure and computed X-ray powder pattern of Dy7Cu2Ir2 (a crystal structure in Alexandria, relaxed with GGA-PBE; Cu Kα (λ = 1.5418 Å)).

Cell and atoms:
Unit cell a=7.821 b=10.650 c=7.023 alpha=90.00 beta=90.00 gamma=90.00
Space group Cmmm (No. 65)
Asymmetric unit:
Dy (0.000, 0.000, 0.000) (multiplicity 2)
Dy (0.000, 0.500, 0.255) (multiplicity 4)
Dy (0.250, 0.250, 0.262) (multiplicity 8)
Cu (0.179, 0.000, 0.500) (multiplicity 4)
Ir (0.000, 0.289, 0.000) (multiplicity 4)

The 8 most intense peaks (15° ≤ 2θ ≤ 90°), by angle:
hkl 2 0 1, 26.08°, I 39
hkl 2 2 0, 28.31°, I 35
hkl 1 1 2, 29.11°, I 27
hkl 0 4 0, 33.66°, I 50
hkl 2 0 2, 34.32°, I 25
hkl 1 3 2, 37.82°, I 45
hkl 2 2 2, 38.38°, I 100
hkl 4 0 0, 46.44°, I 20

=====

No. 2
Structure and computed X-ray powder pattern of Pm5Ir3 (a crystal structure in Alexandria, relaxed with GGA-PBE; Cu Kα (λ = 1.5418 Å)).

Cell and atoms:
Unit cell a=11.198 b=11.198 c=6.526 alpha=90.00 beta=90.00 gamma=90.00
Space group P4/ncc (No. 130, origin choice 2)
Asymmetric unit:
Pm (0.042, 0.160, 0.117) (multiplicity 16)
Pm (0.250, 0.750, 0.000) (multiplicity 4)
Ir (0.096, 0.596, 0.750) (multiplicity 8)
Ir (0.250, 0.250, 0.378) (multiplicity 4)

The 8 most intense peaks (15° ≤ 2θ ≤ 90°), by angle:
hkl 2 1 1, 22.39°, I 28
hkl 3 1 1, 28.68°, I 37
hkl 3 2 1, 31.91°, I 32
hkl 2 1 2, 32.76°, I 42
hkl 4 2 0, 35.84°, I 100
hkl 3 0 2, 36.58°, I 21
hkl 3 1 2, 37.48°, I 29
hkl 2 1 3, 45.46°, I 23

=====

No. 3
Structure and computed X-ray powder pattern of PrHoEr2Th (a crystal structure in Alexandria, relaxed with GGA-PBE; Cu Kα (λ = 1.5418 Å)).

Cell and atoms:
Unit cell a=3.533 b=5.631 c=8.675 alpha=90.00 beta=90.00 gamma=90.00
Space group Pmmm (No. 47)
Asymmetric unit:
Pr (0.000, 0.000, 0.000) (multiplicity 1)
Ho (0.500, 0.000, 0.500) (multiplicity 1)
Er (0.000, 0.500, 0.322) (multiplicity 2)
Th (0.500, 0.500, 0.000) (multiplicity 1)

The 8 most intense peaks (15° ≤ 2θ ≤ 90°), by angle:
hkl 0 1 0, 15.74°, I 18
hkl 1 1 1, 31.63°, I 100
hkl 0 2 0, 31.78°, I 40
hkl 1 0 2, 32.69°, I 20
hkl 0 1 3, 34.88°, I 27
hkl 1 1 2, 36.48°, I 25
hkl 1 3 1, 56.53°, I 20
hkl 1 1 5, 61.81°, I 20

=====

No. 4
Structure and computed X-ray powder pattern of PmZn6Ga2 (a crystal structure in Alexandria, relaxed with GGA-PBE; Cu Kα (λ = 1.5418 Å)).

Cell and atoms:
Unit cell a=4.145 b=4.145 c=9.002 alpha=90.00 beta=90.00 gamma=90.00
Space group P4/mmm (No. 123)
Asymmetric unit:
Pm (0.000, 0.000, 0.000) (multiplicity 1)
Zn (0.000, 0.000, 0.500) (multiplicity 1)
Zn (0.000, 0.500, 0.302) (multiplicity 4)
Zn (0.500, 0.500, 0.500) (multiplicity 1)
Ga (0.500, 0.500, 0.137) (multiplicity 2)

The 8 most intense peaks (15° ≤ 2θ ≤ 90°), by angle:
hkl 1 0 2, 29.29°, I 21
hkl 1 1 1, 32.12°, I 21
hkl 1 1 2, 36.59°, I 100
hkl 1 0 3, 36.98°, I 29
hkl 1 1 3, 43.15°, I 33
hkl 2 0 0, 43.67°, I 64
hkl 2 2 0, 63.48°, I 20
hkl 3 1 2, 75.55°, I 22

=====

No. 5
Structure and computed X-ray powder pattern of LiInFe2Cl8 (a crystal structure in Alexandria, relaxed with GGA-PBE; Cu Kα (λ = 1.5418 Å)).

Cell and atoms:
Unit cell a=8.149 b=8.590 c=7.157 alpha=90.00 beta=90.00 gamma=90.00
Space group Cmmm (No. 65)
Asymmetric unit:
Li (0.000, 0.000, 0.000) (multiplicity 2)
In (0.000, 0.000, 0.500) (multiplicity 2)
Fe (0.000, 0.500, 0.245) (multiplicity 4)
Cl (0.000, 0.326, 0.000) (multiplicity 4)
Cl (0.000, 0.326, 0.500) (multiplicity 4)
Cl (0.215, 0.000, 0.239) (multiplicity 8)

The 8 most intense peaks (15° ≤ 2θ ≤ 90°), by angle:
hkl 1 1 1, 19.47°, I 61
hkl 0 2 0, 20.68°, I 100
hkl 2 0 0, 21.81°, I 61
hkl 1 1 2, 29.17°, I 36
hkl 2 0 2, 33.32°, I 48
hkl 1 3 2, 41.90°, I 79
hkl 3 1 2, 43.11°, I 41
hkl 3 3 2, 53.05°, I 65

=====

No. 6
Structure and computed X-ray powder pattern of SrP2RuO8 (a crystal structure in Alexandria, relaxed with GGA-PBE; Cu Kα (λ = 1.5418 Å)).

Cell and atoms:
Unit cell a=4.8522 b=4.8522 c=23.2577 alpha=90.00 beta=90.00 gamma=120.00
Space group R32 (No. 155, hexagonal axes)
Asymmetric unit:
Sr (0.0000, 0.0000, 0.0000) (multiplicity 3)
P (0.0000, 0.0000, 0.2444) (multiplicity 6)
Ru (0.0000, 0.0000, 0.5000) (multiplicity 3)
O (0.0000, 0.0000, 0.3102) (multiplicity 6)
O (0.0069, 0.3916, 0.8902) (multiplicity 18)

The 8 most intense peaks (15° ≤ 2θ ≤ 90°), by angle:
hkl 0 1 2, 22.50°, I 17
hkl 1 0 4, 26.17°, I 100
hkl 1 1 0, 37.06°, I 33
hkl 0 1 8, 37.62°, I 21
hkl 1 1 6, 44.03°, I 21
hkl 0 2 4, 45.93°, I 13
hkl 2 1 4, 60.42°, I 16
hkl 1 1 12, 61.21°, I 15